No. 1
Structure and simulated powder XRD pattern of PrB2Ru3 (the PBE geometry in the Materials Project; Cu Kα, 1.54184 Å).
No peak broadening, texture or thermal motion is included.

Structural model:
```
data_PrB2Ru3
_cell_length_a 5.5862
_cell_length_b 5.5862
_cell_length_c 3.0524
_cell_angle_alpha 90.00
_cell_angle_beta 90.00
_cell_angle_gamma 120.00
_symmetry_space_group_name_H-M 'P 6/m m m'
_symmetry_Int_Tables_number 191
_symmetry_space_group_name_Hall '-P 6 2'
loop_
_atom_site_label
_atom_site_fract_x
_atom_site_fract_y
_atom_site_fract_z
Pr1 0.0000 0.0000 0.0000
B1 0.3333 0.6667 0.0000
Ru1 0.0000 0.5000 0.5000
```

Peak list (8 most intense, 2θ from 10° to 90°, low angle first)
2theta, Rel. int.
34.8, 69
37.2, 100
43.9, 43
48.0, 15
58.9, 30
67.0, 19
73.3, 27
77.7, 13

No. 2
Structure and simulated powder XRD pattern of CaDy2Te4 (the PBE geometry in the Materials Project; Cu Kα, 1.54184 Å).
No peak broadening, texture or thermal motion is included.

Structural model:
```
data_CaDy2Te4
_cell_length_a 7.537
_cell_length_b 4.412
_cell_length_c 7.752
_cell_angle_alpha 90.00
_cell_angle_beta 107.92
_cell_angle_gamma 90.00
_symmetry_space_group_name_H-M 'P 1 2/m 1'
_symmetry_Int_Tables_number 10
loop_
_symmetry_equiv_pos_as_xyz
'x,y,z'
'-x,-y,-z'
'-x,y,-z'
'x,-y,z'
loop_
_atom_site_label
_atom_site_fract_x
_atom_site_fract_y
_atom_site_fract_z
Ca1 0.000 0.000 0.000
Dy1 0.000 0.500 0.500
Dy2 0.500 0.000 0.500
Te1 0.246 0.000 0.738
Te2 0.260 0.500 0.255
```

Peak list (8 most intense, 2θ from 10° to 90°, low angle first)
2theta, Rel. int.
12.0, 45
28.3, 100
28.9, 48
40.1, 19
40.5, 38
40.9, 19
41.4, 36
50.9, 29